[1]
Starting from a GGA-PBE-relaxed structure, the powder diffractogram of Zr2ZnPd2 was computed for Cu Kα (weighted mean of Kα1 and Kα2).

The 10 most intense peaks (10 to 90 degrees two-theta), in order of rising 2θ:
d 4.440, I 14; d 3.186, I 28; d 2.926, I 20; d 2.336, I 100; d 2.220, I 46; d 2.205, I 91; d 2.066, I 30; d 1.713, I 21; d 1.356, I 18; d 1.256, I 14

Structural model:
Unit cell a=5.0268 b=5.0268 c=6.4003 alpha=112.36 beta=112.36 gamma=39.86
Fractional coordinates of all 5 atoms:
Zr  0.1520  0.1520  0.2832
Zr  0.8480  0.8480  0.7168
Zn  0.5000  0.5000  0.5000
Pd  0.1579  0.1579  0.8340
Pd  0.8421  0.8421  0.1660



[2]
Starting from a GGA-PBE-relaxed structure, the powder diffractogram of K3NaHg2 was computed for Cu Kα (weighted mean of Kα1 and Kα2).

The 10 most intense peaks (10 to 90 degrees two-theta), in order of rising 2θ:
d 4.659, I 100; d 4.616, I 74; d 3.279, I 47; d 2.922, I 41; d 2.690, I 50; d 2.681, I 52; d 2.657, I 22; d 2.329, I 19; d 2.080, I 18; d 1.760, I 36

Structural model:
Unit cell a=9.2332 b=9.2332 c=9.2332 alpha=60.60 beta=60.60 gamma=60.60
Fractional coordinates of all 12 atoms:
K  0.0309  0.7500  0.4691
K  0.2500  0.5309  0.9691
K  0.4691  0.0309  0.7500
K  0.5309  0.9691  0.2500
K  0.7500  0.4691  0.0309
K  0.9691  0.2500  0.5309
Na  0.0000  0.0000  0.0000
Na  0.5000  0.5000  0.5000
Hg  0.1399  0.1399  0.1399
Hg  0.3601  0.3601  0.3601
Hg  0.6399  0.6399  0.6399
Hg  0.8601  0.8601  0.8601



[3]
Starting from a GGA-PBE-relaxed structure, the powder diffractogram of Ac5Al2Bi was computed for Cu Kα (weighted mean of Kα1 and Kα2).

The 10 most intense peaks (10 to 90 degrees two-theta), in order of rising 2θ:
d 3.765, I 52; d 3.272, I 47; d 3.101, I 100; d 3.068, I 25; d 2.888, I 67; d 2.744, I 69; d 1.949, I 24; d 1.921, I 24; d 1.892, I 17; d 1.808, I 36

Structural model:
Unit cell a=9.8751 b=9.8751 c=9.8751 alpha=127.87 beta=127.87 gamma=76.84
Fractional coordinates of all 16 atoms:
Ac  0.0000  0.0000  0.0000
Ac  0.0215  0.5215  0.8341
Ac  0.1874  0.0215  0.5000
Ac  0.3126  0.8126  0.8341
Ac  0.4785  0.3126  0.5000
Ac  0.5000  0.5000  0.0000
Ac  0.5215  0.6874  0.5000
Ac  0.6874  0.1874  0.1659
Ac  0.8126  0.9785  0.5000
Ac  0.9785  0.4785  0.1659
Al  0.1181  0.3819  0.5000
Al  0.3819  0.8819  0.2638
Al  0.6181  0.1181  0.7362
Al  0.8819  0.6181  0.5000
Bi  0.2500  0.2500  0.0000
Bi  0.7500  0.7500  0.0000



[4]
Starting from a GGA-PBE-relaxed structure, the powder diffractogram of LaY9Si8 was computed for Cu Kα (weighted mean of Kα1 and Kα2).

The 10 most intense peaks (10 to 90 degrees two-theta), in order of rising 2θ:
d 3.286, I 36; d 2.975, I 36; d 2.825, I 34; d 2.808, I 34; d 2.777, I 100; d 2.676, I 35; d 2.654, I 48; d 2.451, I 23; d 2.408, I 30; d 2.376, I 36

Structural model:
Unit cell a=7.7475 b=7.4878 c=14.7054 alpha=90.00 beta=90.41 gamma=90.00
Fractional coordinates of all 36 atoms:
La  0.0714  0.0000  0.1564
La  0.9286  0.5000  0.8436
Y  0.0663  0.0055  0.8495
Y  0.0689  0.2917  0.3729
Y  0.0731  0.2888  0.6255
Y  0.2378  0.3263  0.0001
Y  0.2616  0.6205  0.4991
Y  0.4285  0.6585  0.8707
Y  0.4300  0.6572  0.1274
Y  0.4333  0.9416  0.3518
Y  0.4339  0.9435  0.6496
Y  0.5661  0.4435  0.3504
Y  0.5667  0.4416  0.6482
Y  0.5700  0.1572  0.8726
Y  0.5715  0.1585  0.1293
Y  0.7384  0.1205  0.5009
Y  0.7622  0.8263  0.9999
Y  0.9269  0.7888  0.3745
Y  0.9311  0.7917  0.6271
Y  0.9337  0.5055  0.1505
Si  0.1269  0.7104  0.9984
Si  0.1460  0.9930  0.5005
Si  0.2209  0.6218  0.2908
Si  0.2296  0.6154  0.7052
Si  0.2798  0.3368  0.2109
Si  0.2834  0.3273  0.7873
Si  0.3592  0.9528  0.9991
Si  0.3763  0.2370  0.4995
Si  0.6237  0.7370  0.5005
Si  0.6408  0.4528  0.0009
Si  0.7166  0.8273  0.2127
Si  0.7202  0.8368  0.7891
Si  0.7704  0.1154  0.2948
Si  0.7791  0.1218  0.7092
Si  0.8540  0.4930  0.4995
Si  0.8731  0.2104  0.0016



[5]
Starting from a GGA-PBE-relaxed structure, the powder diffractogram of Pr5Ho2 was computed for Cu Kα (weighted mean of Kα1 and Kα2).

The 10 most intense peaks (10 to 90 degrees two-theta), in order of rising 2θ:
d 2.919, I 100; d 2.896, I 90; d 2.056, I 34; d 1.685, I 20; d 1.681, I 36; d 1.668, I 14; d 1.459, I 12; d 1.303, I 16; d 1.297, I 12; d 1.103, I 10

Structural model:
Unit cell a=8.9078 b=8.9078 c=8.9078 alpha=38.25 beta=38.25 gamma=38.25
Fractional coordinates of all 7 atoms:
Pr  0.0000  0.0000  0.0000
Pr  0.2923  0.2923  0.2923
Pr  0.4322  0.4322  0.4322
Pr  0.5678  0.5678  0.5678
Pr  0.7077  0.7077  0.7077
Ho  0.1522  0.1522  0.1522
Ho  0.8478  0.8478  0.8478